# In2AgPtAu
Computed powder diffraction line list, a wavelength of 1.5418 Å. Input: DFT lattice parameters and positions (PBE).
Kinematic intensities with the Lorentz-polarization factor, no thermal factor.

Most intense lines, 15° ≤ 2θ ≤ 90°, most intense first:
2theta	d/Å	I_rel
31.91	2.804	100
45.75	1.983	77
42.43	2.131	61
34.21	2.621	55
58.35	1.581	46
38.13	2.360	44
41.29	2.187	41
32.65	2.742	36
26.27	3.393	35
47.48	1.915	35

Crystal structure
a b c (Å): 3.966 3.966 13.105
angles (deg): 90.00 90.00 90.00
Space group P4/nmm (No. 129, origin choice 2)
Asymmetric unit:
In 0.250 0.250 0.118 (multiplicity 2)
In 0.250 0.250 0.704 (multiplicity 2)
Ag 0.250 0.750 0.500 (multiplicity 2)
Pt 0.250 0.250 0.910 (multiplicity 2)
Au 0.250 0.250 0.338 (multiplicity 2)